Record 1
Diffraction record for CaTaAlO5. The powder diffraction line list is simulated, not measured: it uses a cell relaxed with GGA-PBE and λ = 1.5418 Å (Cu Kα).
Neutral-atom scattering factors, no anomalous dispersion.

The 10 most intense peaks (2θ from 5° to 70°), by intensity:
- hkl 1 1 0, 2θ = 17.38°, d 5.104, I = 100
- hkl 1 3 0, 2θ = 33.12°, d 2.705, I = 81
- hkl 1 1 -2, 2θ = 26.06°, d 3.419, I = 79
- hkl 2 0 0, 2θ = 28.83°, d 3.097, I = 38
- hkl 0 2 0, 2θ = 19.71°, d 4.505, I = 31
- hkl 3 1 -2, 2θ = 41.82°, d 2.160, I = 19
- hkl 3 3 0, 2θ = 53.88°, d 1.702, I = 17
- hkl 2 2 -2, 2θ = 36.01°, d 2.494, I = 17
- hkl 1 1 2, 2θ = 36.54°, d 2.459, I = 17
- hkl 2 2 2, 2θ = 51.75°, d 1.767, I = 13

a = 6.821 Å, b = 9.010 Å, c = 7.464 Å
α = 90.00°, β = 114.76°, γ = 90.00°
Space group C2/c (No. 15)
Inequivalent atoms, fractional coordinates:
1 Ca 0.000 0.169 0.250 x4
2 Ta 0.000 0.500 0.000 x4
3 Al 0.000 0.183 0.750 x4
4 O 0.000 0.427 0.250 x4
5 O 0.101 0.295 0.611 x8
6 O 0.192 0.057 0.910 x8


Record 2
Diffraction record for Er2Cu2O5. The powder diffraction line list is simulated, not measured: it uses a cell relaxed with GGA-PBE and λ = 1.5418 Å (Cu Kα).
Neutral-atom scattering factors, no anomalous dispersion.

The 10 most intense peaks (2θ from 5° to 70°), by intensity:
- hkl 2 1 1, 2θ = 31.32°, d 2.856, I = 100
- hkl 2 0 4, 2θ = 33.10°, d 2.707, I = 79
- hkl 0 1 3, 2θ = 33.52°, d 2.674, I = 58
- hkl 2 0 2, 2θ = 21.71°, d 4.094, I = 47
- hkl 4 1 2, 2θ = 44.75°, d 2.025, I = 36
- hkl 4 1 3, 2θ = 47.79°, d 1.903, I = 31
- hkl 2 1 0, 2θ = 30.47°, d 2.934, I = 30
- hkl 2 0 3, 2θ = 27.01°, d 3.302, I = 29
- hkl 6 1 0, 2θ = 57.41°, d 1.605, I = 25
- hkl 2 1 7, 2θ = 60.78°, d 1.524, I = 24

a = 10.847 Å, b = 3.489 Å, c = 12.485 Å
α = 90.00°, β = 90.00°, γ = 90.00°
Space group Pna2_1 (No. 33)
Inequivalent atoms, fractional coordinates:
1 Er 0.043 0.222 0.000 x4
2 Er 0.209 0.220 0.328 x4
3 Cu 0.010 0.341 0.718 x4
4 Cu 0.237 0.154 0.611 x4
5 O 0.070 0.277 0.567 x4
6 O 0.078 0.726 0.358 x4
7 O 0.126 0.338 0.164 x4
8 O 0.174 0.724 0.972 x4
9 O 0.177 0.217 0.764 x4


Record 3
Diffraction record for CrSe2. The powder diffraction line list is simulated, not measured: it uses a cell relaxed with GGA-PBE and λ = 1.5418 Å (Cu Kα).
Neutral-atom scattering factors, no anomalous dispersion.

The 10 most intense peaks (2θ from 5° to 70°), by intensity:
- hkl 4 0 0, 2θ = 35.73°, d 2.513, I = 100
- hkl 4 4 0, 2θ = 51.43°, d 1.777, I = 68
- hkl 2 2 2, 2θ = 30.82°, d 2.902, I = 48
- hkl 4 4 4, 2θ = 64.20°, d 1.451, I = 23
- hkl 6 2 2, 2θ = 61.16°, d 1.515, I = 21
- hkl 1 1 1, 2θ = 15.27°, d 5.803, I = 19
- hkl 3 1 1, 2θ = 29.47°, d 3.031, I = 11
- hkl 3 3 1, 2θ = 39.06°, d 2.306, I = 5
- hkl 5 1 1, 2θ = 46.97°, d 1.934, I = 4
- hkl 5 3 1, 2θ = 53.97°, d 1.699, I = 4

a = 10.052 Å, b = 10.052 Å, c = 10.052 Å
α = 90.00°, β = 90.00°, γ = 90.00°
Space group Fd-3m (No. 227, origin choice 2)
Inequivalent atoms, fractional coordinates:
1 Cr 0.000 0.000 0.000 x16
2 Se 0.000 0.000 0.250 x32


Record 4
Diffraction record for MgTi2O5. The powder diffraction line list is simulated, not measured: it uses a cell relaxed with GGA-PBE and λ = 1.5418 Å (Cu Kα).
Neutral-atom scattering factors, no anomalous dispersion.

The 10 most intense peaks (2θ from 5° to 70°), by intensity:
- hkl 0 2 0, 2θ = 17.47°, d 5.076, I = 100
- hkl 1 1 0, 2θ = 25.46°, d 3.499, I = 58
- hkl 0 2 3, 2θ = 29.23°, d 3.055, I = 53
- hkl 1 1 1, 2θ = 26.63°, d 3.347, I = 34
- hkl 1 1 3, 2θ = 34.74°, d 2.582, I = 28
- hkl 2 0 0, 2θ = 48.87°, d 1.864, I = 27
- hkl 1 5 4, 2θ = 61.20°, d 1.514, I = 21
- hkl 0 2 2, 2θ = 23.40°, d 3.802, I = 20
- hkl 0 0 4, 2θ = 31.17°, d 2.870, I = 17
- hkl 0 0 6, 2θ = 47.53°, d 1.913, I = 16

a = 3.727 Å, b = 10.152 Å, c = 11.478 Å
α = 90.00°, β = 90.00°, γ = 90.00°
Space group Cmcm (No. 63)
Inequivalent atoms, fractional coordinates:
1 Mg 0.000 0.101 0.250 x4
2 Ti 0.000 0.204 0.599 x8
3 O 0.000 0.042 0.630 x8
4 O 0.000 0.238 0.077 x8
5 O 0.000 0.301 0.750 x4


Record 5
Diffraction record for Nb2CrSe4. The powder diffraction line list is simulated, not measured: it uses a cell relaxed with GGA-PBE and λ = 1.5418 Å (Cu Kα).
Neutral-atom scattering factors, no anomalous dispersion.

The 10 most intense peaks (2θ from 5° to 70°), by intensity:
- hkl 2 0 4, 2θ = 40.87°, d 2.208, I = 100
- hkl 2 0 3, 2θ = 35.95°, d 2.498, I = 76
- hkl 2 2 0, 2θ = 50.61°, d 1.804, I = 64
- hkl 2 0 1, 2θ = 29.47°, d 3.031, I = 56
- hkl 0 0 2, 2θ = 14.19°, d 6.241, I = 50
- hkl 2 0 2, 2θ = 32.04°, d 2.794, I = 41
- hkl 2 1 1, 2θ = 38.81°, d 2.320, I = 21
- hkl 2 0 7, 2θ = 59.69°, d 1.549, I = 18
- hkl 4 0 4, 2θ = 67.00°, d 1.397, I = 18
- hkl 2 1 3, 2θ = 44.09°, d 2.054, I = 18

a = 7.2150 Å, b = 7.2150 Å, c = 12.4824 Å
α = 90.00°, β = 90.00°, γ = 120.00°
Space group P6_3/mmc (No. 194)
Inequivalent atoms, fractional coordinates:
1 Nb 0.0000 0.0000 0.2500 x2
2 Nb 0.0552 0.5276 0.2500 x6
3 Cr 0.0000 0.0000 0.0000 x2
4 Cr 0.3333 0.6667 0.7500 x2
5 Se 0.1656 0.3311 0.6212 x12
6 Se 0.3333 0.6667 0.0962 x4


Record 6
Diffraction record for Ce4UO10. The powder diffraction line list is simulated, not measured: it uses a cell relaxed with GGA-PBE and λ = 1.5418 Å (Cu Kα).
Neutral-atom scattering factors, no anomalous dispersion.

The 10 most intense peaks (2θ from 5° to 70°), by intensity:
- hkl 0 1 5, 2θ = 28.24°, d 3.160, I = 100
- hkl 1 0 10, 2θ = 32.80°, d 2.731, I = 42
- hkl 1 1 0, 2θ = 46.91°, d 1.937, I = 36
- hkl 0 1 20, 2θ = 47.21°, d 1.925, I = 35
- hkl 0 0 15, 2θ = 28.48°, d 3.134, I = 33
- hkl 1 1 15, 2θ = 55.79°, d 1.648, I = 30
- hkl 2 0 5, 2θ = 55.66°, d 1.651, I = 15
- hkl 1 0 25, 2θ = 56.06°, d 1.640, I = 15
- hkl 0 0 3, 2θ = 5.64°, d 15.671, I = 14
- hkl 2 0 20, 2θ = 68.75°, d 1.365, I = 11

a = 3.8739 Å, b = 3.8739 Å, c = 47.0130 Å
α = 90.00°, β = 90.00°, γ = 120.00°
Space group R-3m (No. 166, hexagonal axes)
Inequivalent atoms, fractional coordinates:
1 Ce 0.0000 0.0000 0.1000 x6
2 Ce 0.0000 0.0000 0.3001 x6
3 U 0.0000 0.0000 0.5000 x3
4 O 0.0000 0.0000 0.0509 x6
5 O 0.0000 0.0000 0.1527 x6
6 O 0.0000 0.0000 0.2478 x6
7 O 0.0000 0.0000 0.3500 x6
8 O 0.0000 0.0000 0.4544 x6


Record 7
Diffraction record for CdPS3. The powder diffraction line list is simulated, not measured: it uses a cell relaxed with GGA-PBE and λ = 1.5418 Å (Cu Kα).
Neutral-atom scattering factors, no anomalous dispersion.

The 10 most intense peaks (2θ from 5° to 70°), by intensity:
- hkl 0 0 3, 2θ = 12.05°, d 7.346, I = 100
- hkl 2 -1 3, 2θ = 30.89°, d 2.895, I = 70
- hkl 2 -1 6, 2θ = 37.62°, d 2.391, I = 40
- hkl 3 0 0, 2θ = 50.17°, d 1.818, I = 20
- hkl 1 1 0, 2θ = 28.34°, d 3.149, I = 17
- hkl 1 1 9, 2θ = 47.01°, d 1.933, I = 17
- hkl 3 0 3, 2θ = 51.80°, d 1.765, I = 14
- hkl 0 1 5, 2θ = 25.99°, d 3.428, I = 11
- hkl 2 2 3, 2θ = 60.09°, d 1.540, I = 9
- hkl 1 0 7, 2θ = 32.85°, d 2.727, I = 9

a = 6.2988 Å, b = 6.2988 Å, c = 22.0379 Å
α = 90.00°, β = 90.00°, γ = 120.00°
Space group R-3 (No. 148, hexagonal axes)
Inequivalent atoms, fractional coordinates:
1 Cd 0.0000 0.0000 0.1674 x6
2 P 0.0000 0.0000 0.4489 x6
3 S 0.0013 0.3116 0.5773 x18


Record 8
Diffraction record for TmB2. The powder diffraction line list is simulated, not measured: it uses a cell relaxed with GGA-PBE and λ = 1.5418 Å (Cu Kα).
Neutral-atom scattering factors, no anomalous dispersion.

The 8 most intense peaks (2θ from 5° to 70°), by intensity:
- hkl 1 0 1, 2θ = 39.88°, d 2.261, I = 100
- hkl 1 0 0, 2θ = 31.66°, d 2.826, I = 77
- hkl 0 0 1, 2θ = 23.63°, d 3.766, I = 47
- hkl 1 0 2, 2θ = 58.94°, d 1.567, I = 27
- hkl 1 1 1, 2θ = 61.98°, d 1.497, I = 22
- hkl 1 1 0, 2θ = 56.38°, d 1.632, I = 20
- hkl 0 0 2, 2θ = 48.34°, d 1.883, I = 10
- hkl 2 0 0, 2θ = 66.12°, d 1.413, I = 10

a = 3.2636 Å, b = 3.2636 Å, c = 3.7659 Å
α = 90.00°, β = 90.00°, γ = 120.00°
Space group P6/mmm (No. 191)
Inequivalent atoms, fractional coordinates:
1 Tm 0.0000 0.0000 0.0000 x1
2 B 0.3333 0.6667 0.5000 x2